Simulated XRD peak list
Compound: ZnGe
Radiation: Cu Kα, 1.54184 Å
Structure: a cell relaxed with PBE
Lines closer than 0.1° are merged.

Principal peaks in the range 2θ = 10–80°, low angle first:
two_theta  Rel. int.  (hkl)
31.92  67  3 0 1
35.21  76  0 0 2
37.97  86  3 1 1
41.71  59  1 2 0
41.85  60  1 1 2
44.79  76  2 1 2
45.07  100  4 1 1
48.27  84  2 2 1

Structural model:
```
ZnGe
1.0
10.0710 0.0000 0.0000
0.0000 4.4342 0.0000
0.0000 0.0000 5.0974
Zn Ge
6 6
Cartesian
0.0000 0.5667 0.0000
1.3171 2.6835 3.7587
3.7184 1.7507 1.2100
5.0355 3.8675 2.5487
6.3526 1.7507 1.2100
8.7539 2.6835 3.7587
0.0000 2.7345 1.3994
2.4129 3.9167 1.2340
2.6226 0.5176 3.7826
5.0355 1.6997 3.9481
7.4484 0.5176 3.7826
7.6581 3.9167 1.2340
```